(1)
Computed PXRD pattern
Compound: NaSbH
Radiation: CuKα
Structure: DFT lattice parameters and positions (GGA-PBE)
Intensities are scaled so that the largest is 100.

Main lines, most intense first (10 to 90 degrees two-theta):
- 15.5 deg, rel. 100
- 33.0 deg, rel. 71
- 34.3 deg, rel. 65
- 24.8 deg, rel. 63
- 32.1 deg, rel. 38
- 37.5 deg, rel. 33
- 20.3 deg, rel. 29
- 34.5 deg, rel. 21
- 43.1 deg, rel. 18
- 35.8 deg, rel. 18

Structure:
Cell: 10.698 4.196 6.971 Å, 90.00 124.99 90.00°
Sites, in units of the cell vectors:
Na 0.075 0.000 0.332
Na 0.425 0.500 0.668
Na 0.575 0.500 0.332
Na 0.925 0.000 0.668
Sb 0.187 0.500 0.074
Sb 0.313 0.000 0.926
Sb 0.687 0.000 0.074
Sb 0.813 0.500 0.926
H 0.033 0.500 0.566
H 0.467 0.000 0.434
H 0.533 0.000 0.566
H 0.967 0.500 0.434

(2)
Computed PXRD pattern
Compound: NdHo3Er
Radiation: CuKα
Structure: DFT lattice parameters and positions (GGA-PBE)
Intensities are scaled so that the largest is 100.

Main lines, most intense first (10 to 90 degrees two-theta):
- 32.7 deg, rel. 100
- 31.6 deg, rel. 24
- 28.5 deg, rel. 24
- 57.0 deg, rel. 21
- 50.4 deg, rel. 20
- 60.7 deg, rel. 19
- 43.1 deg, rel. 16
- 61.3 deg, rel. 14
- 83.3 deg, rel. 7
- 83.2 deg, rel. 6

Structure:
Cell: 6.265 6.713 9.199 Å, 107.82 90.01 117.76°
Sites, in units of the cell vectors:
Nd 0.171 0.000 0.251
Nd 0.829 0.000 0.749
Ho 0.233 0.797 0.550
Ho 0.365 0.398 0.651
Ho 0.434 0.202 0.951
Ho 0.566 0.798 0.049
Ho 0.635 0.602 0.349
Ho 0.767 0.203 0.450
Er 0.034 0.399 0.150
Er 0.966 0.601 0.850

(3)
Computed PXRD pattern
Compound: TlAuS4
Radiation: CuKα
Structure: DFT lattice parameters and positions (GGA-PBE)
Intensities are scaled so that the largest is 100.

Main lines, most intense first (10 to 90 degrees two-theta):
- 23.0 deg, rel. 100
- 27.2 deg, rel. 65
- 21.6 deg, rel. 60
- 30.0 deg, rel. 54
- 22.7 deg, rel. 45
- 23.8 deg, rel. 35
- 24.7 deg, rel. 30
- 37.3 deg, rel. 30
- 37.6 deg, rel. 27
- 34.5 deg, rel. 24

Structure:
Cell: 6.011 7.812 7.843 Å, 112.54 98.00 109.11°
Sites, in units of the cell vectors:
Tl 0.000 0.000 0.000
Tl 0.500 0.000 0.500
Au 0.227 0.487 0.733
Au 0.773 0.513 0.267
S 0.085 0.104 0.643
S 0.192 0.541 0.375
S 0.335 0.432 0.153
S 0.397 0.879 0.015
S 0.603 0.121 0.985
S 0.665 0.568 0.847
S 0.808 0.459 0.625
S 0.915 0.896 0.357

(4)
Computed PXRD pattern
Compound: Li6CdAu
Radiation: CuKα
Structure: DFT lattice parameters and positions (GGA-PBE)
Intensities are scaled so that the largest is 100.

Main lines, most intense first (10 to 90 degrees two-theta):
- 30.9 deg, rel. 100
- 21.9 deg, rel. 93
- 21.5 deg, rel. 49
- 50.0 deg, rel. 31
- 38.0 deg, rel. 30
- 38.3 deg, rel. 29
- 49.4 deg, rel. 22
- 31.3 deg, rel. 19
- 44.6 deg, rel. 19
- 55.0 deg, rel. 16

Structure:
Cell: 7.049 7.049 11.561 Å, 90.00 90.00 108.11°
Sites, in units of the cell vectors:
Li 0.000 0.000 0.000
Li 0.000 0.000 0.500
Li 0.113 0.368 0.120
Li 0.113 0.368 0.880
Li 0.115 0.360 0.369
Li 0.115 0.360 0.631
Li 0.247 0.753 0.239
Li 0.247 0.753 0.761
Li 0.360 0.115 0.369
Li 0.360 0.115 0.631
Li 0.368 0.113 0.120
Li 0.368 0.113 0.880
Li 0.500 0.500 0.000
Li 0.500 0.500 0.500
Li 0.632 0.887 0.120
Li 0.632 0.887 0.880
Li 0.640 0.885 0.369
Li 0.640 0.885 0.631
Li 0.753 0.247 0.239
Li 0.753 0.247 0.761
Li 0.885 0.640 0.369
Li 0.885 0.640 0.631
Li 0.887 0.632 0.120
Li 0.887 0.632 0.880
Cd 0.257 0.743 0.500
Cd 0.500 0.500 0.250
Cd 0.500 0.500 0.750
Cd 0.743 0.257 0.500
Au 0.000 0.000 0.248
Au 0.000 0.000 0.752
Au 0.257 0.743 0.000
Au 0.743 0.257 0.000

(5)
Computed PXRD pattern
Compound: K5Na3TaNb7O24
Radiation: CuKα
Structure: DFT lattice parameters and positions (GGA-PBE)
Intensities are scaled so that the largest is 100.

Main lines, most intense first (10 to 90 degrees two-theta):
- 31.3 deg, rel. 100
- 21.7 deg, rel. 64
- 44.3 deg, rel. 40
- 22.2 deg, rel. 31
- 30.8 deg, rel. 26
- 31.1 deg, rel. 25
- 55.1 deg, rel. 20
- 45.3 deg, rel. 20
- 50.1 deg, rel. 19
- 55.4 deg, rel. 19

Structure:
Cell: 8.173 8.173 8.013 Å, 90.09 90.09 89.57°
Sites, in units of the cell vectors:
K 0.000 0.000 0.000
K 0.000 0.000 0.499
K 0.500 0.500 0.500
K 0.500 0.999 0.500
K 0.999 0.500 0.500
Na 0.481 0.481 0.002
Na 0.481 0.979 0.005
Na 0.979 0.481 0.005
Ta 0.245 0.245 0.248
Nb 0.243 0.243 0.751
Nb 0.243 0.743 0.250
Nb 0.244 0.741 0.754
Nb 0.741 0.244 0.754
Nb 0.742 0.742 0.250
Nb 0.743 0.243 0.250
Nb 0.743 0.743 0.755
O 0.012 0.261 0.244
O 0.012 0.261 0.750
O 0.012 0.756 0.245
O 0.012 0.757 0.749
O 0.261 0.012 0.244
O 0.261 0.012 0.750
O 0.261 0.261 0.496
O 0.261 0.509 0.241
O 0.262 0.510 0.753
O 0.262 0.758 0.496
O 0.263 0.263 0.998
O 0.267 0.765 0.997
O 0.509 0.261 0.241
O 0.510 0.262 0.753
O 0.511 0.759 0.241
O 0.511 0.760 0.751
O 0.756 0.012 0.245
O 0.757 0.012 0.749
O 0.758 0.262 0.496
O 0.759 0.511 0.241
O 0.760 0.511 0.751
O 0.760 0.760 0.496
O 0.763 0.763 0.997
O 0.765 0.267 0.997

(6)
Computed PXRD pattern
Compound: Zr3SbN3
Radiation: CuKα
Structure: DFT lattice parameters and positions (GGA-PBE)
Intensities are scaled so that the largest is 100.

Main lines, most intense first (10 to 90 degrees two-theta):
- 30.7 deg, rel. 100
- 37.7 deg, rel. 51
- 49.6 deg, rel. 31
- 63.8 deg, rel. 26
- 37.5 deg, rel. 23
- 59.0 deg, rel. 16
- 59.4 deg, rel. 14
- 16.6 deg, rel. 13
- 18.1 deg, rel. 11
- 81.0 deg, rel. 11

Structure:
Cell: 8.083 8.083 8.083 Å, 46.41 46.41 46.41°
Sites, in units of the cell vectors:
Zr 0.043 0.738 0.397
Zr 0.262 0.603 0.957
Zr 0.397 0.043 0.738
Zr 0.603 0.957 0.262
Zr 0.738 0.397 0.043
Zr 0.957 0.262 0.603
Sb 0.167 0.167 0.167
Sb 0.833 0.833 0.833
N 0.067 0.369 0.692
N 0.308 0.933 0.631
N 0.369 0.692 0.067
N 0.631 0.308 0.933
N 0.692 0.067 0.369
N 0.933 0.631 0.308

(7)
Computed PXRD pattern
Compound: Na3SnHg2
Radiation: CuKα
Structure: DFT lattice parameters and positions (GGA-PBE)
Intensities are scaled so that the largest is 100.

Main lines, most intense first (10 to 90 degrees two-theta):
- 33.1 deg, rel. 100
- 18.2 deg, rel. 60
- 27.5 deg, rel. 45
- 46.6 deg, rel. 23
- 36.9 deg, rel. 19
- 38.0 deg, rel. 17
- 64.1 deg, rel. 15
- 40.4 deg, rel. 15
- 42.5 deg, rel. 15
- 56.7 deg, rel. 14

Structure:
Cell: 4.462 14.199 4.876 Å, 90.00 90.00 90.00°
Sites, in units of the cell vectors:
Na 0.000 0.000 0.000
Na 0.000 0.334 0.000
Na 0.000 0.666 0.000
Na 0.500 0.166 0.000
Na 0.500 0.500 0.000
Na 0.500 0.834 0.000
Sn 0.000 0.500 0.500
Sn 0.500 0.000 0.500
Hg 0.000 0.162 0.500
Hg 0.000 0.838 0.500
Hg 0.500 0.338 0.500
Hg 0.500 0.662 0.500